Entry 1:
Simulated powder diffraction line list of SmMgCu4 for a wavelength of 1.5418 Å, from a GGA-PBE-relaxed structure.
Neutral-atom scattering factors, no anomalous dispersion.

The 12 most intense peaks (15° ≤ 2θ ≤ 90°), in order of falling intensity:
index, 2θ/deg, intensity
1 1 3, 41.0, 100.0
2 0 2, 42.9, 35.1
0 1 5, 41.1, 32.9
0 3 3, 66.5, 30.5
0 1 2, 24.4, 28.6
1 1 0, 34.7, 21.4
1 0 4, 34.8, 21.1
1 0 1, 21.1, 17.2
2 2 0, 73.2, 14.7
2 0 8, 73.6, 14.5
3 0 0, 62.3, 11.7
0 0 6, 43.1, 11.5

Structural model:
a = 5.1704 Å, b = 5.1704 Å, c = 12.5902 Å
α = 90.00°, β = 90.00°, γ = 120.00°
Space group R3m (No. 160, hexagonal axes)
Unique sites:
Sm: 0.0000 0.0000 0.0000 (multiplicity 3)
Mg: 0.0000 0.0000 0.7492 (multiplicity 3)
Cu: 0.0000 0.0000 0.3767 (multiplicity 3)
Cu: 0.1689 0.3378 0.2080 (multiplicity 9)

Entry 2:
Simulated powder diffraction line list of MgCu2Sn for a wavelength of 1.5418 Å, from a GGA-PBE-relaxed structure.
Neutral-atom scattering factors, no anomalous dispersion.

The 12 most intense peaks (15° ≤ 2θ ≤ 90°), in order of falling intensity:
index, 2θ/deg, intensity
2 2 0, 39.8, 100.0
4 2 2, 72.2, 31.4
2 1 0, 31.2, 16.9
4 0 0, 57.5, 16.1
4 4 0, 85.7, 9.8
1 1 1, 24.0, 7.0
3 0 0, 42.3, 6.5
3 2 2, 59.4, 6.3
4 2 1, 66.9, 3.9
5 2 0, 80.7, 3.7
3 1 1, 47.0, 3.7
4 3 0, 73.9, 2.7

Structural model:
a = 6.4134 Å, b = 6.4134 Å, c = 6.4134 Å
α = 90.00°, β = 90.00°, γ = 90.00°
Space group Pm-3m (No. 221)
Unique sites:
Mg: 0.0000 0.0000 0.0000 (multiplicity 1)
Mg: 0.0000 0.0000 0.5000 (multiplicity 3)
Cu: 0.2369 0.2369 0.2369 (multiplicity 8)
Sn: 0.0000 0.5000 0.5000 (multiplicity 3)
Sn: 0.5000 0.5000 0.5000 (multiplicity 1)